Entry 1:
Theoretical PXRD pattern of Tl2HgHPd6 for Cu Kα (weighted mean of Kα1 and Kα2), from DFT lattice parameters and positions (PBE).
Peak positions follow from Bragg's law for the DFT cell and can differ from measured ones.

```
data_Tl2HgHPd6
_chemical_formula_sum 'Tl2 Hg1 H1 Pd6'
_space_group_name_H-M_alt 'P 1'
_space_group_IT_number 1
_space_group_name_Hall 'P 1'
_cell_length_a 5.612
_cell_length_b 5.617
_cell_length_c 6.959
_cell_angle_alpha 68.90
_cell_angle_beta 69.28
_cell_angle_gamma 60.54
loop_
_atom_site_label
_atom_site_type_symbol
_atom_site_fract_x
_atom_site_fract_y
_atom_site_fract_z
Tl1 Tl 0.228 0.232 0.215
Tl2 Tl 0.772 0.768 0.785
Hg1 Hg 0.000 0.000 0.000
H1 H 0.500 0.500 0.500
Pd1 Pd 0.161 0.665 0.378
Pd2 Pd 0.306 0.302 0.766
Pd3 Pd 0.335 0.838 0.623
Pd4 Pd 0.665 0.162 0.377
Pd5 Pd 0.694 0.698 0.234
Pd6 Pd 0.839 0.335 0.622
```

The 10 most intense peaks (10 to 90 degrees two-theta), by angle:
31.92°, 2.804 Å, intensity 45.2; 34.63°, 2.590 Å, intensity 34.9; 34.81°, 2.577 Å, intensity 37.6; 37.18°, 2.418 Å, intensity 100.0; 37.76°, 2.382 Å, intensity 45.8; 38.92°, 2.314 Å, intensity 96.5; 41.38°, 2.182 Å, intensity 80.6; 41.94°, 2.154 Å, intensity 60.3; 42.19°, 2.142 Å, intensity 56.9; 52.58°, 1.741 Å, intensity 41.9


Entry 2:
Theoretical PXRD pattern of Cs2PaSbSe6 for Cu Kα (weighted mean of Kα1 and Kα2), from DFT lattice parameters and positions (PBE).
Peak positions follow from Bragg's law for the DFT cell and can differ from measured ones.

```
data_Cs2PaSbSe6
_chemical_formula_sum 'Cs2 Pa1 Sb1 Se6'
_space_group_name_H-M_alt 'P 1'
_space_group_IT_number 1
_space_group_name_Hall 'P 1'
_cell_length_a 7.871
_cell_length_b 7.871
_cell_length_c 6.692
_cell_angle_alpha 90.00
_cell_angle_beta 90.00
_cell_angle_gamma 120.00
loop_
_atom_site_label
_atom_site_type_symbol
_atom_site_fract_x
_atom_site_fract_y
_atom_site_fract_z
Cs1 Cs 0.333 0.667 0.221
Cs2 Cs 0.667 0.333 0.779
Pa1 Pa 0.000 0.000 0.500
Sb1 Sb 0.000 0.000 0.000
Se1 Se 0.161 0.322 0.761
Se2 Se 0.161 0.839 0.761
Se3 Se 0.322 0.161 0.239
Se4 Se 0.678 0.839 0.761
Se5 Se 0.839 0.161 0.239
Se6 Se 0.839 0.678 0.239
```

The 10 most intense peaks (10 to 90 degrees two-theta), by angle:
12.99°, 6.817 Å, intensity 79.8; 18.58°, 4.775 Å, intensity 16.3; 22.59°, 3.936 Å, intensity 45.4; 29.41°, 3.037 Å, intensity 100.0; 29.74°, 3.004 Å, intensity 31.9; 37.67°, 2.388 Å, intensity 62.4; 44.38°, 2.041 Å, intensity 28.8; 46.13°, 1.968 Å, intensity 39.4; 48.79°, 1.866 Å, intensity 20.1; 74.43°, 1.275 Å, intensity 16.2


Entry 3:
Theoretical PXRD pattern of ThZn2Ni5 for Cu Kα (weighted mean of Kα1 and Kα2), from DFT lattice parameters and positions (PBE).
Peak positions follow from Bragg's law for the DFT cell and can differ from measured ones.

```
data_ThZn2Ni5
_chemical_formula_sum 'Th1 Zn2 Ni5'
_space_group_name_H-M_alt 'P 1'
_space_group_IT_number 1
_space_group_name_Hall 'P 1'
_cell_length_a 6.243
_cell_length_b 6.243
_cell_length_c 6.243
_cell_angle_alpha 144.84
_cell_angle_beta 121.03
_cell_angle_gamma 70.55
loop_
_atom_site_label
_atom_site_type_symbol
_atom_site_fract_x
_atom_site_fract_y
_atom_site_fract_z
Th1 Th 0.000 0.000 0.000
Zn1 Zn 0.267 0.767 0.500
Zn2 Zn 0.733 0.233 0.500
Ni1 Ni 0.181 0.379 0.802
Ni2 Ni 0.423 0.621 0.802
Ni3 Ni 0.500 0.000 0.500
Ni4 Ni 0.577 0.379 0.198
Ni5 Ni 0.819 0.621 0.198
```

The 10 most intense peaks (10 to 90 degrees two-theta), by angle:
17.40°, 5.097 Å, intensity 22.7; 30.05°, 2.974 Å, intensity 31.7; 32.94°, 2.719 Å, intensity 68.7; 35.56°, 2.524 Å, intensity 52.8; 38.82°, 2.320 Å, intensity 100.0; 46.28°, 1.962 Å, intensity 56.8; 48.27°, 1.886 Å, intensity 30.6; 50.92°, 1.793 Å, intensity 35.1; 54.02°, 1.697 Å, intensity 16.5; 69.10°, 1.359 Å, intensity 32.9